For Nd2InGa2, the PBE geometry in Alexandria gives the calculated PXRD pattern in this record (Cu Kα (λ = 1.5418 Å)).
No peak broadening, texture or thermal motion is included.

Largest 6 diffraction maxima, by angle, 10° ≤ 2θ ≤ 90°:
| d [Å] | 2θ/deg | intensity |
| --- | --- | --- |
| 2.937 | 30.4 | 100 |
| 2.734 | 32.8 | 65 |
| 2.529 | 35.5 | 27 |
| 2.331 | 38.6 | 36 |
| 2.171 | 41.6 | 25 |
| 1.655 | 55.5 | 29 |

Cell and atoms:
Lattice parameters (Å, degrees): 7.338 7.338 4.342 90.00 90.00 147.08
Positions (direct):
1 Nd 0.132 0.868 0.000
2 Nd 0.868 0.132 0.000
3 In 0.500 0.500 0.500
4 Ga 0.299 0.701 0.500
5 Ga 0.701 0.299 0.500

***

For NdInGa4, the PBE geometry in Alexandria gives the calculated PXRD pattern in this record (Cu Kα (λ = 1.5418 Å)).
No peak broadening, texture or thermal motion is included.

Largest 6 diffraction maxima, by angle, 10° ≤ 2θ ≤ 90°:
| d [Å] | 2θ/deg | intensity |
| --- | --- | --- |
| 2.833 | 31.6 | 48 |
| 2.416 | 37.2 | 100 |
| 2.313 | 38.9 | 23 |
| 1.636 | 56.2 | 18 |
| 1.542 | 60.0 | 32 |
| 1.417 | 65.9 | 25 |

Cell and atoms:
Lattice parameters (Å, degrees): 5.667 5.667 5.667 60.00 60.00 60.00
Positions (direct):
1 Nd 0.000 0.000 0.000
2 In 0.250 0.250 0.250
3 Ga 0.125 0.625 0.625
4 Ga 0.625 0.125 0.625
5 Ga 0.625 0.625 0.125
6 Ga 0.625 0.625 0.625

***

For Pm2Nd2InGa4, the PBE geometry in Alexandria gives the calculated PXRD pattern in this record (Cu Kα (λ = 1.5418 Å)).
No peak broadening, texture or thermal motion is included.

Largest 6 diffraction maxima, by angle, 10° ≤ 2θ ≤ 90°:
| d [Å] | 2θ/deg | intensity |
| --- | --- | --- |
| 3.609 | 24.7 | 26 |
| 2.857 | 31.3 | 100 |
| 2.552 | 35.2 | 61 |
| 2.241 | 40.2 | 29 |
| 1.804 | 50.6 | 21 |
| 1.526 | 60.7 | 29 |

Cell and atoms:
Lattice parameters (Å, degrees): 6.919 6.919 6.919 117.12 117.12 95.07
Positions (direct):
1 Pm 0.185 0.185 0.000
2 Pm 0.815 0.815 0.000
3 Nd 0.250 0.750 0.500
4 Nd 0.750 0.250 0.500
5 In 0.500 0.500 0.000
6 Ga 0.242 0.242 0.484
7 Ga 0.242 0.758 0.000
8 Ga 0.758 0.242 0.000
9 Ga 0.758 0.758 0.516